This entry pairs a crystal structure of K5Na3Ta7NbO24 with its simulated XRD peak list. Radiation: a wavelength of 1.5418 Å. Structure: a structure optimized by DFT (PBE).

Peak list (10 most intense, 2θ from 10° to 90°, most intense first)
2θ/deg, I_rel
31.5, 100
22.2, 79
56.2, 40
50.9, 35
45.2, 33
65.8, 20
74.8, 17
70.4, 16
38.9, 8
87.7, 8

Structure:
```
K5Na3Ta7NbO24
1.0
5.6740 -5.6742 0.0000
5.6740 5.6742 0.0000
-0.0003 0.0000 8.0235
K Na Ta Nb O
5 3 7 1 24
Cartesian
0.0010 0.0000 0.0001
0.0010 0.0000 4.0126
2.8377 2.8365 0.0000
2.8377 -2.8365 0.0000
5.6740 0.0000 0.0000
2.8374 2.8370 4.0122
2.8374 -2.8370 4.0122
5.6743 0.0000 4.0122
2.8401 0.0000 2.0118
5.6745 2.8345 2.0118
5.6744 2.8345 6.0125
5.6745 -2.8345 2.0118
5.6744 -2.8345 6.0125
8.5089 0.0000 2.0119
8.5088 0.0000 6.0124
2.8398 0.0000 6.0127
7.0969 -4.2507 2.0139
4.2516 4.2512 2.0139
9.9249 -1.4225 6.0104
2.8386 0.0000 0.0090
4.2570 1.4185 2.0194
4.2622 1.4240 6.0051
5.6746 2.8361 0.0011
7.0969 4.2507 2.0139
2.8460 0.0000 4.0040
5.6744 2.8284 4.0115
7.0913 4.2452 6.0105
4.2570 -1.4185 2.0194
7.0926 1.4180 2.0193
7.0929 1.4176 6.0050
4.2622 -1.4240 6.0051
4.2516 -4.2512 2.0139
9.9249 1.4225 6.0104
5.6744 -2.8284 4.0115
8.5028 0.0000 4.0121
5.6746 -2.8361 0.0011
7.0926 -1.4180 2.0193
7.0929 -1.4176 6.0050
8.5106 0.0000 0.0004
7.0913 -4.2452 6.0105
```


This entry pairs a crystal structure of K5Na3Ta6Nb2O24 with its simulated XRD peak list. Radiation: a wavelength of 1.5418 Å. Structure: a structure optimized by DFT (PBE).

Peak list (10 most intense, 2θ from 10° to 90°, most intense first)
2θ/deg, I_rel
31.4, 100
22.1, 77
56.0, 40
45.1, 34
50.7, 33
65.6, 20
74.6, 17
70.2, 16
87.4, 7
38.8, 7

Structure:
```
K5Na3Ta6Nb2O24
1.0
8.0485 0.0000 0.0000
0.0000 8.0484 0.0000
-0.0005 0.0000 8.0494
K Na Ta Nb O
5 3 6 2 24
Cartesian
8.0485 0.0000 0.0000
-0.0002 0.0000 4.0263
0.0000 4.0242 0.0000
-0.0002 4.0242 4.0264
4.0220 0.0000 8.0494
4.0231 0.0000 4.0256
4.0234 4.0242 0.0007
4.0231 4.0242 4.0256
2.0166 2.0139 2.0149
2.0166 6.0346 2.0149
6.0301 2.0139 2.0149
6.0298 2.0139 6.0361
6.0301 6.0345 2.0149
6.0298 6.0345 6.0361
2.0162 2.0139 6.0361
2.0162 6.0345 6.0361
8.0465 2.0130 2.0141
8.0465 6.0354 2.0141
2.0203 0.0000 2.0205
2.0198 0.0000 6.0307
2.0203 2.0194 0.0103
2.0203 6.0290 0.0103
2.0263 2.0129 4.0162
2.0265 4.0242 2.0140
2.0260 4.0242 6.0371
2.0263 6.0355 4.0162
4.0242 2.0192 2.0203
4.0242 6.0292 2.0203
4.0321 2.0192 6.0308
4.0321 6.0292 6.0308
6.0200 2.0130 4.0245
6.0202 4.0242 2.0141
6.0198 4.0242 6.0370
6.0200 6.0354 4.0245
6.0263 0.0000 2.0204
6.0260 0.0000 6.0306
6.0264 2.0194 0.0018
6.0264 6.0290 0.0018
8.0375 2.0130 6.0370
8.0375 6.0354 6.0370
```